AcNd4HoTm2: computed X-ray diffraction stick pattern (Cu Kα (weighted mean of Kα1 and Kα2)), based on DFT lattice parameters and positions (GGA-PBE).

Structural model:
```
AcNd4HoTm2
1.0
11.527 0.000 0.000
0.000 5.172 0.000
-4.670 0.000 9.261
Ac Nd Ho Tm
2 8 2 4
Cartesian
0.000 0.000 0.000
5.763 2.586 0.000
-1.210 0.000 8.047
-0.035 2.586 5.753
1.128 0.000 3.507
2.304 2.586 1.213
4.553 2.586 8.047
5.729 0.000 5.753
6.892 2.586 3.507
8.068 0.000 1.213
-2.335 0.000 4.630
3.429 2.586 4.630
-3.458 2.586 6.878
4.552 0.000 2.383
2.306 0.000 6.878
10.315 2.586 2.383
```

Most intense lines, 10 to 90 degrees two-theta, sorted by position:
2.984 Å, 29.9°, intensity 100; 2.590 Å, 34.6°, intensity 34; 2.573 Å, 34.9°, intensity 17; 1.825 Å, 50.0°, intensity 24; 1.562 Å, 59.1°, intensity 14; 1.559 Å, 59.3°, intensity 15; 1.553 Å, 59.5°, intensity 14; 1.492 Å, 62.2°, intensity 12

AcNdHo4Tm2: computed X-ray diffraction stick pattern (Cu Kα (weighted mean of Kα1 and Kα2)), based on DFT lattice parameters and positions (GGA-PBE).

Structural model:
```
AcNdHo4Tm2
1.0
-3.459 5.931 6.696
3.459 -5.931 6.696
3.459 5.931 -6.696
Ac Nd Ho Tm
2 2 8 4
Cartesian
-1.730 2.966 3.348
1.730 2.966 3.348
0.000 0.000 0.000
0.000 5.931 0.000
3.459 -0.183 3.290
1.744 2.966 -0.166
5.174 2.966 -0.166
3.459 5.748 -3.290
0.000 0.183 9.987
-1.715 2.966 6.862
1.715 2.966 6.862
0.000 6.114 3.406
1.730 2.966 -3.348
1.730 -2.966 3.348
3.459 0.000 0.000
0.000 0.000 6.696
```

Most intense lines, 10 to 90 degrees two-theta, sorted by position:
3.348 Å, 26.6°, intensity 66; 2.988 Å, 29.9°, intensity 100; 2.965 Å, 30.1°, intensity 50; 2.229 Å, 40.5°, intensity 87; 2.220 Å, 40.6°, intensity 42; 1.716 Å, 53.4°, intensity 19; 1.527 Å, 60.6°, intensity 25; 1.461 Å, 63.7°, intensity 21

Ac2NdY5Ho: computed X-ray diffraction stick pattern (Cu Kα (weighted mean of Kα1 and Kα2)), based on DFT lattice parameters and positions (GGA-PBE).

Structural model:
```
Ac2NdY5Ho
1.0
2.907 -10.097 0.000
2.907 10.097 0.000
0.000 0.000 10.927
Ac Nd Y Ho
4 2 10 2
Cartesian
2.907 7.813 5.463
2.907 7.775 0.952
2.907 -7.775 6.415
2.907 -7.813 0.000
2.907 1.708 2.515
2.907 -1.708 7.978
2.907 9.711 8.659
2.907 4.385 0.897
2.907 4.094 5.186
2.907 2.295 8.618
2.907 0.375 5.532
2.907 -0.375 0.069
2.907 -2.295 3.154
2.907 -4.094 10.649
2.907 -4.385 6.360
2.907 -9.711 3.196
2.907 5.990 8.536
2.907 -5.990 3.072
```

Most intense lines, 10 to 90 degrees two-theta, sorted by position:
3.427 Å, 26.0°, intensity 17; 3.217 Å, 27.7°, intensity 17; 3.051 Å, 29.3°, intensity 41; 2.907 Å, 30.8°, intensity 42; 2.835 Å, 31.6°, intensity 100; 1.664 Å, 55.2°, intensity 21; 1.578 Å, 58.5°, intensity 15; 1.550 Å, 59.6°, intensity 14